For K2FeO4, the PBE+U geometry in the Materials Project gives the calculated X-ray powder pattern in this record (Cu Kα (λ = 1.5418 Å)).
Intensities are scaled so that the largest is 100.

Main lines, by angle (15 to 90 degrees two-theta):
- 2θ 20.0, intensity 78
- 2θ 20.6, intensity 57
- 2θ 27.0, intensity 100
- 2θ 27.2, intensity 83
- 2θ 29.8, intensity 62
- 2θ 30.4, intensity 70
- 2θ 30.6, intensity 61
- 2θ 31.6, intensity 24
- 2θ 32.4, intensity 31
- 2θ 40.7, intensity 19
- 2θ 41.9, intensity 25
- 2θ 52.2, intensity 21

Atomic structure:
```
data_K2FeO4
_chemical_formula_sum 'K8 Fe4 O16'
_symmetry_space_group_name_H-M 'P 1 21/c 1'
_symmetry_Int_Tables_number 14
_cell_length_a 5.9923
_cell_length_b 8.6281
_cell_length_c 11.6900
_cell_angle_alpha 90.00
_cell_angle_beta 120.36
_cell_angle_gamma 90.00
loop_
_symmetry_equiv_pos_as_xyz
'x,y,z'
'-x,-y,-z'
'-x,y+1/2,-z+1/2'
'x,-y+1/2,z+1/2'
loop_
_atom_site_label
_atom_site_type_symbol
_atom_site_fract_x
_atom_site_fract_y
_atom_site_fract_z
_atom_site_occupancy
K1 K 0.0118 0.0089 0.2903 1
K2 K 0.4023 0.7150 0.5933 1
Fe1 Fe 0.2540 0.2282 0.0648 1
O1 O 0.0544 0.2024 0.9029 1
O2 O 0.0852 0.2224 0.1426 1
O3 O 0.3864 0.0974 0.5856 1
O4 O 0.4839 0.0941 0.1240 1
```


For Sr2MgV2Si4O14, the PBE+U geometry in the Materials Project gives the calculated X-ray powder pattern in this record (Cu Kα (λ = 1.5418 Å)).
Intensities are scaled so that the largest is 100.

Main lines, by angle (15 to 90 degrees two-theta):
- 2θ 24.3, intensity 88
- 2θ 27.2, intensity 55
- 2θ 27.6, intensity 72
- 2θ 29.6, intensity 100
- 2θ 29.9, intensity 72
- 2θ 32.0, intensity 52
- 2θ 34.1, intensity 38
- 2θ 38.8, intensity 29
- 2θ 40.6, intensity 37
- 2θ 44.6, intensity 36
- 2θ 47.3, intensity 33
- 2θ 49.8, intensity 35

Atomic structure:
```
data_Sr2MgV2Si4O14
_chemical_formula_sum 'Sr2 Mg1 V2 Si4 O14'
_symmetry_space_group_name_H-M 'P 1 m 1'
_symmetry_Int_Tables_number 6
_cell_length_a 5.6059
_cell_length_b 7.3268
_cell_length_c 7.7355
_cell_angle_alpha 90.00
_cell_angle_beta 108.58
_cell_angle_gamma 90.00
loop_
_symmetry_equiv_pos_as_xyz
'x,y,z'
'x,-y,z'
loop_
_atom_site_label
_atom_site_type_symbol
_atom_site_fract_x
_atom_site_fract_y
_atom_site_fract_z
_atom_site_occupancy
Sr1 Sr 0.0000 0.0000 0.0000 1
Sr2 Sr 0.3390 0.5000 0.7484 1
Mg1 Mg 0.4400 0.5000 0.3356 1
V1 V 0.2812 0.0000 0.6031 1
V2 V 0.9903 0.5000 0.1365 1
Si1 Si 0.5628 0.2193 0.1644 1
Si2 Si 0.7869 0.2737 0.6084 1
O1 O 0.0652 0.1857 0.6965 1
O2 O 0.1566 0.0000 0.3804 1
O3 O 0.1689 0.5000 0.4246 1
O4 O 0.2909 0.3167 0.1049 1
O5 O 0.5096 0.0000 0.1435 1
O6 O 0.5629 0.1855 0.6732 1
O7 O 0.6863 0.2815 0.3831 1
O8 O 0.7490 0.2760 0.0540 1
O9 O 0.7973 0.5000 0.6667 1
```


For MgV12Zn6O24, the PBE+U geometry in the Materials Project gives the calculated X-ray powder pattern in this record (Cu Kα (λ = 1.5418 Å)).
Intensities are scaled so that the largest is 100.

Main lines, by angle (15 to 90 degrees two-theta):
- 2θ 28.8, intensity 24
- 2θ 29.5, intensity 43
- 2θ 29.9, intensity 21
- 2θ 33.8, intensity 35
- 2θ 34.4, intensity 100
- 2θ 34.6, intensity 20
- 2θ 34.7, intensity 25
- 2θ 34.8, intensity 25
- 2θ 35.0, intensity 42
- 2θ 59.7, intensity 37
- 2θ 61.3, intensity 43
- 2θ 62.1, intensity 21

Atomic structure:
```
data_MgV12Zn6O24
_chemical_formula_sum 'Mg1 V12 Zn6 O24'
_symmetry_space_group_name_H-M 'P 1'
_symmetry_Int_Tables_number 1
_cell_length_a 5.9810
_cell_length_b 6.0487
_cell_length_c 15.3456
_cell_angle_alpha 89.92
_cell_angle_beta 89.75
_cell_angle_gamma 60.39
loop_
_symmetry_equiv_pos_as_xyz
'x,y,z'
loop_
_atom_site_label
_atom_site_type_symbol
_atom_site_fract_x
_atom_site_fract_y
_atom_site_fract_z
_atom_site_occupancy
Mg1 Mg 0.0000 0.0000 0.0000 1
V1 V 0.9996 0.4993 0.0021 1
V2 V 0.1662 0.1678 0.3400 1
V3 V 0.1664 0.6610 0.3401 1
V4 V 0.3413 0.8271 0.6635 1
V5 V 0.4984 0.0020 0.0007 1
V6 V 0.5002 0.4998 0.0019 1
V7 V 0.6601 0.1670 0.3400 1
V8 V 0.6650 0.6674 0.2090 1
V9 V 0.6681 0.6614 0.8328 1
V10 V 0.8309 0.8263 0.6633 1
V11 V 0.8325 0.3338 0.6638 1
V12 V 0.9956 0.0003 0.5026 1
Zn1 Zn 0.0014 0.9933 0.1540 1
Zn2 Zn 0.3301 0.3354 0.5449 1
Zn3 Zn 0.3313 0.3335 0.1661 1
Zn4 Zn 0.3352 0.3265 0.7949 1
Zn5 Zn 0.6642 0.6641 0.4625 1
Zn6 Zn 0.9950 0.0024 0.8464 1
O1 O 0.0003 0.9959 0.2744 1
O2 O 0.0014 0.9979 0.7277 1
O3 O 0.0156 0.4804 0.2581 1
O4 O 0.1531 0.1541 0.5857 1
O5 O 0.1560 0.6947 0.5832 1
O6 O 0.1636 0.6685 0.0806 1
O7 O 0.1687 0.1605 0.0794 1
O8 O 0.3033 0.8545 0.4165 1
O9 O 0.3284 0.3353 0.4092 1
O10 O 0.3372 0.3231 0.9297 1
O11 O 0.3399 0.8351 0.9215 1
O12 O 0.4828 0.4977 0.2583 1
O13 O 0.4981 0.0151 0.2584 1
O14 O 0.5149 0.9618 0.7511 1
O15 O 0.5186 0.5044 0.7485 1
O16 O 0.6621 0.6755 0.0803 1
O17 O 0.6671 0.1605 0.0793 1
O18 O 0.6687 0.6568 0.5915 1
O19 O 0.6922 0.1572 0.5843 1
O20 O 0.8274 0.8343 0.9219 1
O21 O 0.8319 0.3383 0.9194 1
O22 O 0.8376 0.3063 0.4153 1
O23 O 0.8476 0.8404 0.4152 1
O24 O 0.9718 0.5035 0.7494 1
```


For SrSmCr4O12, the PBE+U geometry in the Materials Project gives the calculated X-ray powder pattern in this record (Cu Kα (λ = 1.5418 Å)).
Intensities are scaled so that the largest is 100.

Main lines, by angle (15 to 90 degrees two-theta):
- 2θ 20.4, intensity 100
- 2θ 33.5, intensity 75
- 2θ 33.7, intensity 37
- 2θ 39.4, intensity 18
- 2θ 39.7, intensity 36
- 2θ 41.4, intensity 13
- 2θ 47.8, intensity 18
- 2θ 48.3, intensity 35
- 2θ 52.7, intensity 16
- 2θ 59.8, intensity 14
- 2θ 60.1, intensity 28
- 2θ 70.4, intensity 19

Atomic structure:
```
data_SrSmCr4O12
_chemical_formula_sum 'Sr1 Sm1 Cr4 O12'
_symmetry_space_group_name_H-M 'P 4/m m m'
_symmetry_Int_Tables_number 123
_symmetry_space_group_name_Hall '-P 4 2'
_cell_length_a 5.3251
_cell_length_b 5.3251
_cell_length_c 7.6051
_cell_angle_alpha 90.00
_cell_angle_beta 90.00
_cell_angle_gamma 90.00
loop_
_atom_site_label
_atom_site_type_symbol
_atom_site_fract_x
_atom_site_fract_y
_atom_site_fract_z
_atom_site_occupancy
Sr1 Sr 0.0000 0.0000 0.0000 1
Sm1 Sm 0.5000 0.5000 0.5000 1
Cr1 Cr 0.0000 0.5000 0.2475 1
O1 O 0.0000 0.5000 0.0000 1
O2 O 0.0000 0.5000 0.5000 1
O3 O 0.2558 0.2558 0.2583 1
```


For Li5Fe2P2C2O14, the PBE+U geometry in the Materials Project gives the calculated X-ray powder pattern in this record (Cu Kα (λ = 1.5418 Å)).
Intensities are scaled so that the largest is 100.

Main lines, by angle (15 to 90 degrees two-theta):
- 2θ 16.7, intensity 29
- 2θ 18.1, intensity 20
- 2θ 19.7, intensity 45
- 2θ 21.1, intensity 59
- 2θ 24.0, intensity 23
- 2θ 26.5, intensity 60
- 2θ 28.0, intensity 100
- 2θ 28.5, intensity 20
- 2θ 33.4, intensity 19
- 2θ 35.3, intensity 30
- 2θ 36.2, intensity 26
- 2θ 42.9, intensity 37

Atomic structure:
```
data_Li5Fe2P2C2O14
_chemical_formula_sum 'Li10 Fe4 P4 C4 O28'
_symmetry_space_group_name_H-M 'P -1'
_symmetry_Int_Tables_number 2
_cell_length_a 7.9308
_cell_length_b 8.4708
_cell_length_c 9.6135
_cell_angle_alpha 111.55
_cell_angle_beta 102.47
_cell_angle_gamma 103.05
loop_
_symmetry_equiv_pos_as_xyz
'x,y,z'
'-x,-y,-z'
loop_
_atom_site_label
_atom_site_type_symbol
_atom_site_fract_x
_atom_site_fract_y
_atom_site_fract_z
_atom_site_occupancy
Li1 Li 0.0357 0.0508 0.2455 1
Li2 Li 0.2348 0.7815 0.2423 1
Li3 Li 0.2610 0.7139 0.7398 1
Li4 Li 0.3341 0.1100 0.1105 1
Li5 Li 0.4576 0.4386 0.7778 1
Fe1 Fe 0.1955 0.4539 0.3465 1
Fe2 Fe 0.3017 0.0488 0.6572 1
P1 P 0.0622 0.3051 0.5826 1
P2 P 0.4392 0.1977 0.4228 1
C1 C 0.0032 0.7548 0.9397 1
C2 C 0.4876 0.2327 0.9551 1
O1 O 0.0448 0.8598 0.5772 1
O2 O 0.0509 0.7582 0.8171 1
O3 O 0.0756 0.6337 0.3325 1
O4 O 0.1045 0.8681 0.0819 1
O5 O 0.1537 0.3641 0.0978 1
O6 O 0.1655 0.4659 0.5512 1
O7 O 0.2041 0.2677 0.6909 1
O8 O 0.2974 0.2487 0.3206 1
O9 O 0.3276 0.0349 0.4395 1
O10 O 0.3371 0.0964 0.9020 1
O11 O 0.4346 0.6738 0.8938 1
O12 O 0.4360 0.8590 0.6757 1
O13 O 0.4466 0.6377 0.4134 1
O14 O 0.4476 0.7321 0.1483 1
```


For Li8MnO6, the PBE+U geometry in the Materials Project gives the calculated X-ray powder pattern in this record (Cu Kα (λ = 1.5418 Å)).
Intensities are scaled so that the largest is 100.

Main lines, by angle (15 to 90 degrees two-theta):
- 2θ 16.1, intensity 21
- 2θ 18.5, intensity 74
- 2θ 24.6, intensity 100
- 2θ 32.3, intensity 36
- 2θ 32.5, intensity 32
- 2θ 33.4, intensity 31
- 2θ 41.0, intensity 21
- 2θ 46.5, intensity 17
- 2θ 53.2, intensity 18
- 2θ 53.4, intensity 18
- 2θ 57.6, intensity 31
- 2θ 67.7, intensity 17

Atomic structure:
```
data_Li8MnO6
_chemical_formula_sum 'Li16 Mn2 O12'
_symmetry_space_group_name_H-M 'P 63 c m'
_symmetry_Int_Tables_number 185
_symmetry_space_group_name_Hall 'P 6c -2'
_cell_length_a 5.5401
_cell_length_b 5.5401
_cell_length_c 11.0318
_cell_angle_alpha 90.00
_cell_angle_beta 90.00
_cell_angle_gamma 120.00
loop_
_atom_site_label
_atom_site_type_symbol
_atom_site_fract_x
_atom_site_fract_y
_atom_site_fract_z
_atom_site_occupancy
Li1 Li 0.0000 0.3083 0.0000 1
Li2 Li 0.0000 0.3838 0.3649 1
Li3 Li 0.3333 0.6667 0.1369 1
Mn1 Mn 0.0000 0.0000 0.2250 1
O1 O 0.0000 0.0000 0.4031 1
O2 O 0.0000 0.3088 0.1825 1
O3 O 0.3333 0.6667 0.4523 1
```


For Ba3Y2MoO9, the PBE+U geometry in the Materials Project gives the calculated X-ray powder pattern in this record (Cu Kα (λ = 1.5418 Å)).
Intensities are scaled so that the largest is 100.

Main lines, by angle (15 to 90 degrees two-theta):
- 2θ 29.2, intensity 100
- 2θ 36.0, intensity 6
- 2θ 41.8, intensity 31
- 2θ 51.9, intensity 39
- 2θ 60.6, intensity 15
- 2θ 60.7, intensity 3
- 2θ 68.7, intensity 8
- 2θ 68.8, intensity 9
- 2θ 72.6, intensity 1
- 2θ 76.4, intensity 6
- 2θ 83.8, intensity 13
- 2θ 83.9, intensity 7

Atomic structure:
```
data_Ba3Y2MoO9
_chemical_formula_sum 'Ba12 Y8 Mo4 O36'
_symmetry_space_group_name_H-M 'I m m m'
_symmetry_Int_Tables_number 71
_symmetry_space_group_name_Hall '-I 2 2'
_cell_length_a 6.0995
_cell_length_b 8.6477
_cell_length_c 18.3245
_cell_angle_alpha 90.00
_cell_angle_beta 90.00
_cell_angle_gamma 90.00
loop_
_atom_site_label
_atom_site_type_symbol
_atom_site_fract_x
_atom_site_fract_y
_atom_site_fract_z
_atom_site_occupancy
Ba1 Ba 0.0000 0.2367 0.0000 1
Ba2 Ba 0.0000 0.2589 0.3386 1
Y1 Y 0.0000 0.0000 0.1712 1
Y2 Y 0.0000 0.0000 0.5000 1
Y3 Y 0.0000 0.5000 0.5000 1
Mo1 Mo 0.0000 0.5000 0.1660 1
O1 O 0.0000 0.2464 0.5000 1
O2 O 0.0000 0.2717 0.1702 1
O3 O 0.2269 0.5000 0.0899 1
O4 O 0.2302 0.5000 0.2401 1
O5 O 0.2499 0.0000 0.0893 1
```


For NaNbWO7, the PBE+U geometry in the Materials Project gives the calculated X-ray powder pattern in this record (Cu Kα (λ = 1.5418 Å)).
Intensities are scaled so that the largest is 100.

Main lines, by angle (15 to 90 degrees two-theta):
- 2θ 17.0, intensity 13
- 2θ 28.0, intensity 53
- 2θ 28.3, intensity 26
- 2θ 29.3, intensity 100
- 2θ 33.8, intensity 18
- 2θ 44.6, intensity 14
- 2θ 48.6, intensity 16
- 2θ 49.0, intensity 31
- 2θ 57.8, intensity 29
- 2θ 58.4, intensity 14
- 2θ 60.9, intensity 12
- 2θ 79.4, intensity 11

Atomic structure:
```
data_NaNbWO7
_chemical_formula_sum 'Na4 Nb4 W4 O28'
_symmetry_space_group_name_H-M 'I m m a'
_symmetry_Int_Tables_number 74
_symmetry_space_group_name_Hall '-I 2b 2'
_cell_length_a 7.4892
_cell_length_b 7.4956
_cell_length_c 10.4505
_cell_angle_alpha 90.00
_cell_angle_beta 90.00
_cell_angle_gamma 90.00
loop_
_atom_site_label
_atom_site_type_symbol
_atom_site_fract_x
_atom_site_fract_y
_atom_site_fract_z
_atom_site_occupancy
Na1 Na 0.0000 0.0000 0.0000 1
Nb1 Nb 0.2500 0.2500 0.2500 1
W1 W 0.0000 0.0000 0.5000 1
O1 O 0.0000 0.2500 0.1796 1
O2 O 0.0000 0.2500 0.5571 1
O3 O 0.0000 0.2500 0.8693 1
O4 O 0.1839 0.0626 0.3783 1
```


Question: Which formula does entry 5 have?
Answer: Li5Fe2P2C2O14


Copy entry 6 word for word.
For Li8MnO6, the PBE+U geometry in the Materials Project gives the calculated X-ray powder pattern in this record (Cu Kα (λ = 1.5418 Å)).
Intensities are scaled so that the largest is 100.

Main lines, by angle (15 to 90 degrees two-theta):
- 2θ 16.1, intensity 21
- 2θ 18.5, intensity 74
- 2θ 24.6, intensity 100
- 2θ 32.3, intensity 36
- 2θ 32.5, intensity 32
- 2θ 33.4, intensity 31
- 2θ 41.0, intensity 21
- 2θ 46.5, intensity 17
- 2θ 53.2, intensity 18
- 2θ 53.4, intensity 18
- 2θ 57.6, intensity 31
- 2θ 67.7, intensity 17

Atomic structure:
```
data_Li8MnO6
_chemical_formula_sum 'Li16 Mn2 O12'
_symmetry_space_group_name_H-M 'P 63 c m'
_symmetry_Int_Tables_number 185
_symmetry_space_group_name_Hall 'P 6c -2'
_cell_length_a 5.5401
_cell_length_b 5.5401
_cell_length_c 11.0318
_cell_angle_alpha 90.00
_cell_angle_beta 90.00
_cell_angle_gamma 120.00
loop_
_atom_site_label
_atom_site_type_symbol
_atom_site_fract_x
_atom_site_fract_y
_atom_site_fract_z
_atom_site_occupancy
Li1 Li 0.0000 0.3083 0.0000 1
Li2 Li 0.0000 0.3838 0.3649 1
Li3 Li 0.3333 0.6667 0.1369 1
Mn1 Mn 0.0000 0.0000 0.2250 1
O1 O 0.0000 0.0000 0.4031 1
O2 O 0.0000 0.3088 0.1825 1
O3 O 0.3333 0.6667 0.4523 1
```